(1)
The following is a calculated XRD peak list of Li4CdIn4. It was derived from the PBE geometry in Alexandria, using Cu Kα (weighted mean of Kα1 and Kα2).
Peak positions follow from Bragg's law for the DFT cell and can differ from measured ones.

Structure:
Unit cell a=6.449 b=6.449 c=10.301 alpha=90.00 beta=90.00 gamma=90.00
Fractional positions:
Li 0.012 0.250 0.023
Li 0.250 0.012 0.523
Li 0.250 0.488 0.523
Li 0.488 0.250 0.023
Li 0.512 0.750 0.977
Li 0.750 0.512 0.477
Li 0.750 0.988 0.477
Li 0.988 0.750 0.977
Cd 0.250 0.750 0.250
Cd 0.750 0.250 0.750
In 0.026 0.250 0.325
In 0.250 0.026 0.825
In 0.250 0.474 0.825
In 0.474 0.250 0.325
In 0.526 0.750 0.675
In 0.750 0.526 0.175
In 0.750 0.974 0.175
In 0.974 0.750 0.675

Main lines, in order of rising 2θ (2θ = 10–80°):
d (Å), intensity
5.150, 652
4.025, 505
3.077, 189
2.777, 1000
2.517, 133
2.392, 190
2.351, 564
2.280, 143
1.690, 127
1.612, 118
1.372, 133
1.330, 140

(2)
The following is a calculated XRD peak list of Sm2TmPu3Te6. It was derived from the PBE geometry in Alexandria, using Cu Kα (weighted mean of Kα1 and Kα2).
Peak positions follow from Bragg's law for the DFT cell and can differ from measured ones.

Structure:
Unit cell a=8.731 b=8.731 c=11.083 alpha=108.08 beta=108.08 gamma=26.96
Fractional positions:
Sm 0.152 0.152 0.347
Sm 0.848 0.848 0.653
Tm 0.000 0.000 0.000
Pu 0.000 0.000 0.500
Pu 0.166 0.166 0.801
Pu 0.834 0.834 0.199
Te 0.185 0.185 0.092
Te 0.347 0.347 0.432
Te 0.497 0.497 0.214
Te 0.503 0.503 0.786
Te 0.653 0.653 0.568
Te 0.815 0.815 0.908

Main lines, in order of rising 2θ (2θ = 10–80°):
d (Å), intensity
3.947, 347
3.243, 285
3.037, 1000
2.771, 713
2.727, 331
2.682, 771
2.548, 778
2.537, 530
2.524, 305
2.036, 405
1.640, 301
1.622, 343

(3)
The following is a calculated XRD peak list of HfTaS. It was derived from the PBE geometry in Alexandria, using Cu Kα (weighted mean of Kα1 and Kα2).
Peak positions follow from Bragg's law for the DFT cell and can differ from measured ones.

Structure:
Unit cell a=3.343 b=3.343 c=9.670 alpha=90.00 beta=90.00 gamma=90.00
Fractional positions:
Hf 0.250 0.250 0.095
Hf 0.750 0.750 0.905
Ta 0.250 0.250 0.708
Ta 0.750 0.750 0.292
S 0.250 0.250 0.389
S 0.750 0.750 0.611

Main lines, in order of rising 2θ (2θ = 10–80°):
d (Å), intensity
4.835, 107
3.223, 65
2.750, 741
2.364, 749
2.320, 1000
1.934, 140
1.672, 262
1.497, 248
1.428, 210
1.356, 365
1.277, 77
1.265, 142

Copy entry 1 word for word.
The following is a calculated XRD peak list of Li4CdIn4. It was derived from the PBE geometry in Alexandria, using Cu Kα (weighted mean of Kα1 and Kα2).
Peak positions follow from Bragg's law for the DFT cell and can differ from measured ones.

Structure:
Unit cell a=6.449 b=6.449 c=10.301 alpha=90.00 beta=90.00 gamma=90.00
Fractional positions:
Li 0.012 0.250 0.023
Li 0.250 0.012 0.523
Li 0.250 0.488 0.523
Li 0.488 0.250 0.023
Li 0.512 0.750 0.977
Li 0.750 0.512 0.477
Li 0.750 0.988 0.477
Li 0.988 0.750 0.977
Cd 0.250 0.750 0.250
Cd 0.750 0.250 0.750
In 0.026 0.250 0.325
In 0.250 0.026 0.825
In 0.250 0.474 0.825
In 0.474 0.250 0.325
In 0.526 0.750 0.675
In 0.750 0.526 0.175
In 0.750 0.974 0.175
In 0.974 0.750 0.675

Main lines, in order of rising 2θ (2θ = 10–80°):
d (Å), intensity
5.150, 652
4.025, 505
3.077, 189
2.777, 1000
2.517, 133
2.392, 190
2.351, 564
2.280, 143
1.690, 127
1.612, 118
1.372, 133
1.330, 140